# Fe3CoCu2P6O24
Computed PXRD pattern, copper Kα. Input: a DFT-relaxed cell (PBE+U, Alexandria).
Peak positions follow from Bragg's law for the DFT cell and can differ from measured ones.

The 10 most intense peaks (10 to 80 degrees two-theta), low angle first:
- d = 4.272 Å, 2θ 20.8, I 100.0
- d = 3.625 Å, 2θ 24.6, I 92.1
- d = 3.481 Å, 2θ 25.6, I 19.9
- d = 2.672 Å, 2θ 33.5, I 74.3
- d = 2.467 Å, 2θ 36.4, I 42.2
- d = 1.891 Å, 2θ 48.1, I 35.4
- d = 1.812 Å, 2θ 50.3, I 27.9
- d = 1.615 Å, 2θ 57.0, I 25.7
- d = 1.603 Å, 2θ 57.5, I 18.2
- d = 1.461 Å, 2θ 63.7, I 21.7

Crystal structure
Cell: 8.4391 8.4391 8.4391 Å, 60.83 60.83 60.83°
Atoms (fractional coordinates):
1 Fe 0.0000 0.0000 0.0000
2 Fe 0.2149 0.2149 0.2149
3 Fe 0.4994 0.4994 0.4994
4 Co 0.7137 0.7137 0.7137
5 Cu 0.3587 0.3587 0.3587
6 Cu 0.8582 0.8582 0.8582
7 P 0.1078 0.4018 0.8136
8 P 0.3139 0.8996 0.6102
9 P 0.4018 0.8136 0.1078
10 P 0.6102 0.3139 0.8996
11 P 0.8136 0.1078 0.4018
12 P 0.8996 0.6102 0.3139
13 O 0.0332 0.2483 0.8570
14 O 0.0931 0.4410 0.3180
15 O 0.1077 0.9352 0.7620
16 O 0.1738 0.3669 0.9698
17 O 0.2483 0.8570 0.0332
18 O 0.2767 0.4061 0.6173
19 O 0.3180 0.0931 0.4410
20 O 0.3455 0.7374 0.5549
21 O 0.3669 0.9698 0.1738
22 O 0.4061 0.6173 0.2767
23 O 0.4410 0.3180 0.0931
24 O 0.4700 0.8523 0.6863
25 O 0.5549 0.3455 0.7374
26 O 0.6066 0.7866 0.9522
27 O 0.6173 0.2767 0.4061
28 O 0.6863 0.4700 0.8523
29 O 0.7374 0.5549 0.3455
30 O 0.7620 0.1077 0.9352
31 O 0.7866 0.9522 0.6066
32 O 0.8523 0.6863 0.4700
33 O 0.8570 0.0332 0.2483
34 O 0.9352 0.7620 0.1077
35 O 0.9522 0.6066 0.7866
36 O 0.9698 0.1738 0.3669